Record 1
Diffraction record for V3FeCu2P6O24. The powder diffractogram is simulated, not measured: it uses the GGA+U geometry in the Materials Project and Cu Kα, 1.54184 Å.
Kinematic intensities with the Lorentz-polarization factor, no thermal factor.

Most intense lines, 10° ≤ 2θ ≤ 90°, low angle first:
- 2θ 20.69, I = 95
- 2θ 24.33, I = 100
- 2θ 25.42, I = 22
- 2θ 32.12, I = 17
- 2θ 33.06, I = 85
- 2θ 36.23, I = 37
- 2θ 47.45, I = 34
- 2θ 49.86, I = 28
- 2θ 56.72, I = 25
- 2θ 63.17, I = 19

Structural model:
```
V3FeCu2P6O24
1.0
4.2943 2.4793 6.9821
-4.2943 2.4793 6.9821
0.0000 -4.9586 6.9821
V Fe Cu P O
3 1 2 6 24
Direct
0.0000 0.0000 0.0000
0.2148 0.2148 0.2148
0.7144 0.7144 0.7144
0.5000 0.5000 0.5000
0.3584 0.3584 0.3584
0.8575 0.8575 0.8575
0.1072 0.8159 0.3971
0.3161 0.6069 0.8975
0.3971 0.1072 0.8159
0.6069 0.8975 0.3161
0.8159 0.3971 0.1072
0.8975 0.3161 0.6069
0.0470 0.8570 0.2348
0.0925 0.2996 0.4400
0.1226 0.7747 0.9188
0.1627 0.9799 0.3613
0.2348 0.0470 0.8570
0.2704 0.6239 0.4106
0.2996 0.4400 0.0925
0.3475 0.5536 0.7380
0.3613 0.1627 0.9799
0.4106 0.2704 0.6239
0.4400 0.0925 0.2996
0.4805 0.6621 0.8617
0.5536 0.7380 0.3475
0.5904 0.9387 0.8016
0.6239 0.4106 0.2704
0.6621 0.8617 0.4805
0.7380 0.3475 0.5536
0.7747 0.9188 0.1226
0.8016 0.5904 0.9387
0.8570 0.2348 0.0470
0.8617 0.4805 0.6621
0.9188 0.1226 0.7747
0.9387 0.8016 0.5904
0.9799 0.3613 0.1627
```



Record 2
Diffraction record for FeCu2S2O8. The powder diffractogram is simulated, not measured: it uses the GGA+U geometry in the Materials Project and Cu Kα, 1.54184 Å.
Kinematic intensities with the Lorentz-polarization factor, no thermal factor.

Most intense lines, 10° ≤ 2θ ≤ 90°, low angle first:
- 2θ 18.49, I = 72
- 2θ 18.84, I = 86
- 2θ 26.19, I = 38
- 2θ 26.82, I = 70
- 2θ 29.72, I = 38
- 2θ 31.91, I = 100
- 2θ 32.67, I = 62
- 2θ 35.59, I = 61
- 2θ 37.49, I = 41
- 2θ 59.85, I = 33

Structural model:
```
FeCu2S2O8
1.0
6.8658 0.0000 0.0000
0.0000 6.5273 0.0000
-5.8266 0.0000 7.7257
Fe Cu S O
2 4 4 16
Direct
0.0000 0.0000 0.0000
0.0000 0.5000 0.5000
0.4899 0.2261 0.2880
0.4899 0.2739 0.7880
0.5101 0.7261 0.2120
0.5101 0.7739 0.7120
0.1586 0.0902 0.3854
0.1586 0.4098 0.8854
0.8414 0.5902 0.1146
0.8414 0.9098 0.6146
0.0317 0.5950 0.3099
0.0317 0.9050 0.8099
0.0517 0.2022 0.4645
0.0517 0.2978 0.9645
0.3579 0.5285 0.6781
0.3579 0.9715 0.1781
0.3823 0.2160 0.4350
0.3823 0.2840 0.9350
0.6177 0.7160 0.0650
0.6177 0.7840 0.5650
0.6421 0.0285 0.8219
0.6421 0.4715 0.3219
0.9483 0.7022 0.0355
0.9483 0.7978 0.5355
0.9683 0.0950 0.1901
0.9683 0.4050 0.6901
```



Record 3
Diffraction record for Sr2FeCuSO3. The powder diffractogram is simulated, not measured: it uses the GGA+U geometry in the Materials Project and Cu Kα, 1.54184 Å.
Kinematic intensities with the Lorentz-polarization factor, no thermal factor.

Most intense lines, 10° ≤ 2θ ≤ 90°, low angle first:
- 2θ 32.07, I = 100
- 2θ 32.54, I = 17
- 2θ 36.42, I = 16
- 2θ 39.55, I = 22
- 2θ 41.29, I = 12
- 2θ 45.93, I = 38
- 2θ 57.13, I = 28
- 2θ 57.24, I = 17
- 2θ 66.97, I = 11
- 2θ 76.20, I = 10

Structural model:
```
Sr2FeCuSO3
1.0
3.9519 0.0000 0.0000
0.0000 3.9519 0.0000
0.0000 0.0000 15.7504
Sr Fe Cu S O
4 2 2 2 6
Direct
0.2500 0.2500 0.0877
0.2500 0.2500 0.3158
0.7500 0.7500 0.6842
0.7500 0.7500 0.9123
0.2500 0.2500 0.8096
0.7500 0.7500 0.1904
0.2500 0.7500 0.5000
0.7500 0.2500 0.5000
0.2500 0.2500 0.5897
0.7500 0.7500 0.4103
0.2500 0.2500 0.9321
0.2500 0.7500 0.2117
0.2500 0.7500 0.7883
0.7500 0.2500 0.2117
0.7500 0.2500 0.7883
0.7500 0.7500 0.0679
```